[1]
Li4Pt: simulated powder diffraction line list (Cu Kα), based on the GGA-PBE geometry in Alexandria.
Intensities are scaled so that the largest is 100.

a b c (Å): 4.359 4.359 5.018
angles (deg): 114.04 114.04 60.88
Sites, in units of the cell vectors:
Li 0.110 0.110 0.328
Li 0.301 0.301 0.898
Li 0.699 0.699 0.102
Li 0.890 0.890 0.672
Pt 0.500 0.500 0.500

Top 12 peaks for 2θ = 5–70°, by angle:
20.1°, rel. 79.1
24.2°, rel. 100.0
24.8°, rel. 46.9
26.9°, rel. 37.9
27.2°, rel. 73.9
35.6°, rel. 36.9
36.7°, rel. 17.1
40.8°, rel. 29.8
41.4°, rel. 31.9
41.8°, rel. 31.1
45.9°, rel. 37.6
47.0°, rel. 17.7



[2]
Li3Pt4: simulated powder diffraction line list (Cu Kα), based on the GGA-PBE geometry in Alexandria.
Intensities are scaled so that the largest is 100.

a b c (Å): 4.646 4.646 5.187
angles (deg): 90.00 90.00 120.00
Sites, in units of the cell vectors:
Li 0.000 0.500 0.000
Li 0.500 0.000 0.000
Li 0.500 0.500 0.000
Pt 0.000 0.000 0.254
Pt 0.000 0.000 0.746
Pt 0.333 0.667 0.500
Pt 0.667 0.333 0.500

Top 12 peaks for 2θ = 5–70°, by angle:
17.1°, rel. 61.6
22.1°, rel. 25.0
28.1°, rel. 25.0
38.8°, rel. 100.0
41.4°, rel. 96.5
42.6°, rel. 42.1
45.1°, rel. 4.9
48.5°, rel. 7.1
58.0°, rel. 39.0
60.9°, rel. 3.3
63.8°, rel. 5.1
67.5°, rel. 8.8



[3]
Li5Pt: simulated powder diffraction line list (Cu Kα), based on the GGA-PBE geometry in Alexandria.
Intensities are scaled so that the largest is 100.

a b c (Å): 4.861 4.861 4.492
angles (deg): 90.00 90.00 120.00
Sites, in units of the cell vectors:
Li 0.000 0.695 0.000
Li 0.305 0.305 0.000
Li 0.333 0.667 0.500
Li 0.667 0.333 0.500
Li 0.695 0.000 0.000
Pt 0.000 0.000 0.500

Top 12 peaks for 2θ = 5–70°, by angle:
19.8°, rel. 38.1
21.1°, rel. 100.0
29.1°, rel. 88.4
37.0°, rel. 26.2
42.3°, rel. 41.9
43.0°, rel. 15.4
45.8°, rel. 27.0
47.7°, rel. 24.3
55.7°, rel. 16.3
58.0°, rel. 13.1
60.3°, rel. 11.5
61.9°, rel. 22.2



[4]
LiPu3Pt2: simulated powder diffraction line list (Cu Kα), based on the GGA-PBE geometry in Alexandria.
Intensities are scaled so that the largest is 100.

a b c (Å): 7.552 7.552 3.866
angles (deg): 90.00 90.00 143.37
Sites, in units of the cell vectors:
Li 0.000 0.000 0.000
Pu 0.184 0.816 0.500
Pu 0.500 0.500 0.500
Pu 0.816 0.184 0.500
Pt 0.353 0.647 0.000
Pt 0.647 0.353 0.000

Top 12 peaks for 2θ = 5–70°, by angle:
12.3°, rel. 8.6
19.7°, rel. 14.5
26.5°, rel. 9.6
34.1°, rel. 13.3
35.3°, rel. 100.0
37.6°, rel. 15.6
37.9°, rel. 22.8
47.0°, rel. 12.6
48.4°, rel. 9.8
54.5°, rel. 11.0
61.9°, rel. 11.2
66.8°, rel. 16.3



[5]
LiPtRh: simulated powder diffraction line list (Cu Kα), based on the GGA-PBE geometry in Alexandria.
Intensities are scaled so that the largest is 100.

a b c (Å): 4.614 4.614 4.614
angles (deg): 145.81 129.41 62.48
Sites, in units of the cell vectors:
Li 0.000 0.000 0.000
Pt 0.666 0.666 0.000
Rh 0.331 0.331 0.000

Top 12 peaks for 2θ = 5–70°, by angle:
22.5°, rel. 66.0
25.3°, rel. 95.5
35.0°, rel. 41.6
40.4°, rel. 100.0
41.3°, rel. 94.0
46.0°, rel. 43.7
46.7°, rel. 39.2
48.2°, rel. 60.2
51.9°, rel. 14.5
59.1°, rel. 18.7
62.8°, rel. 14.8
68.9°, rel. 47.9



[6]
LiPt2Rh: simulated powder diffraction line list (Cu Kα), based on the GGA-PBE geometry in Alexandria.
Intensities are scaled so that the largest is 100.

a b c (Å): 4.776 4.776 4.703
angles (deg): 98.30 98.30 33.14
Sites, in units of the cell vectors:
Li 0.000 0.000 0.000
Pt 0.250 0.250 0.787
Pt 0.501 0.501 0.495
Rh 0.756 0.756 0.287

Top 12 peaks for 2θ = 5–70°, by angle:
19.1°, rel. 46.0
25.3°, rel. 37.5
29.5°, rel. 22.6
34.4°, rel. 26.1
39.8°, rel. 52.7
40.4°, rel. 100.0
40.9°, rel. 46.0
46.5°, rel. 31.7
47.2°, rel. 69.8
67.7°, rel. 21.8
68.9°, rel. 20.5
69.2°, rel. 18.0



[7]
Li4PtRh: simulated powder diffraction line list (Cu Kα), based on the GGA-PBE geometry in Alexandria.
Intensities are scaled so that the largest is 100.

a b c (Å): 5.156 4.266 7.872
angles (deg): 90.00 109.09 90.00
Sites, in units of the cell vectors:
Li 0.040 0.250 0.084
Li 0.205 0.250 0.416
Li 0.293 0.750 0.584
Li 0.458 0.750 0.916
Li 0.542 0.250 0.084
Li 0.707 0.250 0.416
Li 0.795 0.750 0.584
Li 0.960 0.750 0.916
Pt 0.378 0.750 0.257
Pt 0.622 0.250 0.743
Rh 0.129 0.250 0.757
Rh 0.871 0.750 0.243

Top 12 peaks for 2θ = 5–70°, by angle:
18.2°, rel. 9.3
23.9°, rel. 50.4
24.0°, rel. 100.0
34.8°, rel. 21.4
42.2°, rel. 27.6
42.4°, rel. 13.8
42.7°, rel. 75.6
49.2°, rel. 14.5
55.8°, rel. 18.4
55.9°, rel. 11.1
61.5°, rel. 8.4
61.7°, rel. 16.9



[8]
Li12PtRh2: simulated powder diffraction line list (Cu Kα), based on the GGA-PBE geometry in Alexandria.
Intensities are scaled so that the largest is 100.

a b c (Å): 5.197 5.197 20.465
angles (deg): 90.00 90.00 119.23
Sites, in units of the cell vectors:
Li 0.000 0.500 0.119
Li 0.000 0.500 0.881
Li 0.004 0.996 0.941
Li 0.015 0.515 0.356
Li 0.084 0.916 0.552
Li 0.250 0.250 0.191
Li 0.250 0.250 0.304
Li 0.250 0.250 0.696
Li 0.250 0.250 0.809
Li 0.416 0.584 0.552
Li 0.485 0.985 0.356
Li 0.496 0.504 0.941
Li 0.500 0.000 0.119
Li 0.500 0.000 0.881
Li 0.504 0.496 0.059
Li 0.515 0.015 0.644
Li 0.584 0.416 0.448
Li 0.750 0.750 0.191
Li 0.750 0.750 0.304
Li 0.750 0.750 0.696
Li 0.750 0.750 0.809
Li 0.916 0.084 0.448
Li 0.985 0.485 0.644
Li 0.996 0.004 0.059
Pt 0.250 0.750 0.003
Pt 0.750 0.250 0.997
Rh 0.250 0.750 0.241
Rh 0.250 0.750 0.759
Rh 0.750 0.250 0.241
Rh 0.750 0.250 0.759

Top 12 peaks for 2θ = 5–70°, by angle:
13.0°, rel. 30.3
17.3°, rel. 100.0
19.8°, rel. 74.7
20.3°, rel. 36.6
21.7°, rel. 23.1
26.4°, rel. 68.4
29.6°, rel. 22.3
38.5°, rel. 31.7
39.7°, rel. 25.1
40.6°, rel. 28.9
43.7°, rel. 44.5
56.9°, rel. 19.9



[9]
LiTaPtRh: simulated powder diffraction line list (Cu Kα), based on the GGA-PBE geometry in Alexandria.
Intensities are scaled so that the largest is 100.

a b c (Å): 4.530 4.530 4.530
angles (deg): 125.58 125.58 80.58
Sites, in units of the cell vectors:
Li 0.000 0.000 0.000
Ta 0.500 0.500 0.000
Pt 0.250 0.750 0.500
Rh 0.750 0.250 0.500

Top 12 peaks for 2θ = 5–70°, by angle:
25.1°, rel. 55.6
25.8°, rel. 4.6
30.5°, rel. 6.0
40.4°, rel. 100.0
43.7°, rel. 40.0
45.0°, rel. 12.0
51.0°, rel. 16.7
51.4°, rel. 2.7
53.0°, rel. 11.4
63.5°, rel. 13.2
64.6°, rel. 8.4
69.4°, rel. 3.4



[10]
LiSb2Pt6: simulated powder diffraction line list (Cu Kα), based on the GGA-PBE geometry in Alexandria.
Intensities are scaled so that the largest is 100.

a b c (Å): 7.218 7.218 3.418
angles (deg): 90.00 90.00 117.03
Sites, in units of the cell vectors:
Li 0.000 0.000 0.000
Sb 0.576 0.862 0.502
Sb 0.862 0.576 0.502
Pt 0.173 0.534 0.000
Pt 0.229 0.886 0.500
Pt 0.279 0.279 0.500
Pt 0.534 0.173 0.000
Pt 0.573 0.573 0.001
Pt 0.886 0.229 0.500

Top 12 peaks for 2θ = 5–70°, by angle:
13.8°, rel. 37.7
24.7°, rel. 20.4
29.6°, rel. 38.1
35.4°, rel. 22.4
36.2°, rel. 92.8
38.4°, rel. 100.0
42.2°, rel. 70.8
44.1°, rel. 36.0
46.4°, rel. 21.7
47.1°, rel. 25.9
53.6°, rel. 25.5
55.7°, rel. 14.9



[11]
Li4SbPt4: simulated powder diffraction line list (Cu Kα), based on the GGA-PBE geometry in Alexandria.
Intensities are scaled so that the largest is 100.

a b c (Å): 6.081 6.081 6.081
angles (deg): 96.63 96.63 140.27
Sites, in units of the cell vectors:
Li 0.177 0.177 0.353
Li 0.177 0.823 0.000
Li 0.823 0.177 0.000
Li 0.823 0.823 0.647
Sb 0.500 0.500 0.000
Pt 0.170 0.500 0.670
Pt 0.500 0.170 0.670
Pt 0.500 0.830 0.330
Pt 0.830 0.500 0.330

Top 12 peaks for 2θ = 5–70°, by angle:
15.5°, rel. 36.7
22.0°, rel. 23.4
24.2°, rel. 42.9
32.9°, rel. 28.1
35.1°, rel. 16.5
39.9°, rel. 100.0
43.8°, rel. 19.3
46.0°, rel. 13.4
47.7°, rel. 30.1
61.6°, rel. 9.9
66.8°, rel. 22.2
69.8°, rel. 9.7



[12]
LiSc3Pt2: simulated powder diffraction line list (Cu Kα), based on the GGA-PBE geometry in Alexandria.
Intensities are scaled so that the largest is 100.

a b c (Å): 4.665 4.665 11.531
angles (deg): 90.00 90.00 120.00
Sites, in units of the cell vectors:
Li 0.333 0.667 0.167
Li 0.667 0.333 0.833
Sc 0.000 0.000 0.254
Sc 0.000 0.000 0.746
Sc 0.333 0.667 0.422
Sc 0.333 0.667 0.919
Sc 0.667 0.333 0.081
Sc 0.667 0.333 0.578
Pt 0.000 0.000 0.000
Pt 0.000 0.000 0.500
Pt 0.333 0.667 0.682
Pt 0.667 0.333 0.318

Top 12 peaks for 2θ = 5–70°, by angle:
7.7°, rel. 30.5
23.3°, rel. 62.3
26.9°, rel. 71.5
38.4°, rel. 96.3
38.6°, rel. 100.0
45.5°, rel. 14.9
47.7°, rel. 16.6
55.6°, rel. 32.4
63.0°, rel. 15.2
69.2°, rel. 18.0
69.7°, rel. 32.4
69.8°, rel. 17.3